1.
Diffraction record for NdTmAsS. The powder diffraction line list is calculated, not measured: it uses the GGA-PBE geometry in Alexandria and Cu Ka.

Main lines, most intense first (2θ from 5° to 70°):
(0 1 5), d = 2.676 Å, intensity 100; (1 1 0), d = 1.995 Å, intensity 51; (0 1 2), d = 3.285 Å, intensity 50; (1 0 7), d = 2.274 Å, intensity 46; (1 0 1), d = 3.410 Å, intensity 39; (2 0 5), d = 1.599 Å, intensity 21

Cell and atoms:
```
data_NdTmAsS
_chemical_formula_sum 'Nd3 Tm3 As3 S3'
_space_group_name_H-M_alt 'R 3 m'
_space_group_IT_number 160
_space_group_name_Hall 'R 3 -2"'
_cell_length_a 3.9901
_cell_length_b 3.9901
_cell_length_c 21.1446
_cell_angle_alpha 90.00
_cell_angle_beta 90.00
_cell_angle_gamma 120.00
loop_
_atom_site_label
_atom_site_type_symbol
_atom_site_fract_x
_atom_site_fract_y
_atom_site_fract_z
_atom_site_occupancy
Nd1 Nd 0.0000 0.0000 0.0000 1
Tm1 Tm 0.0000 0.0000 0.1728 1
As1 As 0.0000 0.0000 0.5804 1
S1 S 0.0000 0.0000 0.7598 1
```



2.
Diffraction record for Nd3ScAs4. The powder diffraction line list is calculated, not measured: it uses the GGA-PBE geometry in Alexandria and Cu Ka.

Main lines, most intense first (2θ from 5° to 70°):
(2 0 1), d = 2.959 Å, intensity 100; (0 0 2), d = 2.093 Å, intensity 62; (0 4 2), d = 1.710 Å, intensity 13; (4 4 0), d = 1.706 Å, intensity 13; (4 0 0), d = 2.090 Å, intensity 12; (4 0 2), d = 1.479 Å, intensity 12

Cell and atoms:
```
data_Nd3ScAs4
_chemical_formula_sum 'Nd6 Sc2 As8'
_space_group_name_H-M_alt 'C m m m'
_space_group_IT_number 65
_space_group_name_Hall '-C 2 2'
_cell_length_a 8.359
_cell_length_b 11.826
_cell_length_c 4.192
_cell_angle_alpha 90.00
_cell_angle_beta 90.00
_cell_angle_gamma 90.00
loop_
_atom_site_label
_atom_site_type_symbol
_atom_site_fract_x
_atom_site_fract_y
_atom_site_fract_z
_atom_site_occupancy
Nd1 Nd 0.000 0.000 0.000 1
Nd2 Nd 0.250 0.250 0.500 1
Sc1 Sc 0.000 0.500 0.000 1
As1 As 0.000 0.258 0.000 1
As2 As 0.235 0.500 0.500 1
```



3.
Diffraction record for Nd3AsSe. The powder diffraction line list is calculated, not measured: it uses the GGA-PBE geometry in Alexandria and Cu Ka.

Main lines, most intense first (2θ from 5° to 70°):
(1 1 1), d = 2.561 Å, intensity 100; (1 1 0), d = 3.448 Å, intensity 57; (3 0 0), d = 1.990 Å, intensity 30; (2 2 1), d = 1.571 Å, intensity 22; (3 0 2), d = 1.379 Å, intensity 18; (1 1 2), d = 1.672 Å, intensity 14

Cell and atoms:
```
data_Nd3AsSe
_chemical_formula_sum 'Nd3 As1 Se1'
_space_group_name_H-M_alt 'P -6'
_space_group_IT_number 174
_cell_length_a 6.8951
_cell_length_b 6.8951
_cell_length_c 3.8238
_cell_angle_alpha 90.00
_cell_angle_beta 90.00
_cell_angle_gamma 120.00
loop_
_space_group_symop_operation_xyz
'x,y,z'
'-x+y,-x,-z'
'-y,x-y,z'
'x,y,-z'
'-x+y,-x,z'
'-y,x-y,-z'
loop_
_atom_site_label
_atom_site_type_symbol
_atom_site_fract_x
_atom_site_fract_y
_atom_site_fract_z
_atom_site_occupancy
Nd1 Nd 0.0005 0.6626 0.0000 1
As1 As 0.3333 0.6667 0.5000 1
Se1 Se 0.0000 0.0000 0.5000 1
```



Repeat the third record exactly.
Diffraction record for Nd3AsSe. The powder diffraction line list is calculated, not measured: it uses the GGA-PBE geometry in Alexandria and Cu Ka.

Main lines, most intense first (2θ from 5° to 70°):
(1 1 1), d = 2.561 Å, intensity 100; (1 1 0), d = 3.448 Å, intensity 57; (3 0 0), d = 1.990 Å, intensity 30; (2 2 1), d = 1.571 Å, intensity 22; (3 0 2), d = 1.379 Å, intensity 18; (1 1 2), d = 1.672 Å, intensity 14

Cell and atoms:
```
data_Nd3AsSe
_chemical_formula_sum 'Nd3 As1 Se1'
_space_group_name_H-M_alt 'P -6'
_space_group_IT_number 174
_cell_length_a 6.8951
_cell_length_b 6.8951
_cell_length_c 3.8238
_cell_angle_alpha 90.00
_cell_angle_beta 90.00
_cell_angle_gamma 120.00
loop_
_space_group_symop_operation_xyz
'x,y,z'
'-x+y,-x,-z'
'-y,x-y,z'
'x,y,-z'
'-x+y,-x,z'
'-y,x-y,-z'
loop_
_atom_site_label
_atom_site_type_symbol
_atom_site_fract_x
_atom_site_fract_y
_atom_site_fract_z
_atom_site_occupancy
Nd1 Nd 0.0005 0.6626 0.0000 1
As1 As 0.3333 0.6667 0.5000 1
Se1 Se 0.0000 0.0000 0.5000 1
```



Repeat the third record exactly.
Diffraction record for Nd3AsSe. The powder diffraction line list is calculated, not measured: it uses the GGA-PBE geometry in Alexandria and Cu Ka.

Main lines, most intense first (2θ from 5° to 70°):
(1 1 1), d = 2.561 Å, intensity 100; (1 1 0), d = 3.448 Å, intensity 57; (3 0 0), d = 1.990 Å, intensity 30; (2 2 1), d = 1.571 Å, intensity 22; (3 0 2), d = 1.379 Å, intensity 18; (1 1 2), d = 1.672 Å, intensity 14

Cell and atoms:
```
data_Nd3AsSe
_chemical_formula_sum 'Nd3 As1 Se1'
_space_group_name_H-M_alt 'P -6'
_space_group_IT_number 174
_cell_length_a 6.8951
_cell_length_b 6.8951
_cell_length_c 3.8238
_cell_angle_alpha 90.00
_cell_angle_beta 90.00
_cell_angle_gamma 120.00
loop_
_space_group_symop_operation_xyz
'x,y,z'
'-x+y,-x,-z'
'-y,x-y,z'
'x,y,-z'
'-x+y,-x,z'
'-y,x-y,-z'
loop_
_atom_site_label
_atom_site_type_symbol
_atom_site_fract_x
_atom_site_fract_y
_atom_site_fract_z
_atom_site_occupancy
Nd1 Nd 0.0005 0.6626 0.0000 1
As1 As 0.3333 0.6667 0.5000 1
Se1 Se 0.0000 0.0000 0.5000 1
```



What is the formula in the third record? Nd3AsSe